# 1
The following is a computed powder diffractogram of Ce3TaCl3O6. It was derived from the GGA-PBE geometry in the Materials Project, using a wavelength of 1.5418 Å.
Intensities are scaled so that the largest is 100.

The 10 most intense peaks (10° ≤ 2θ ≤ 90°), by angle:
2θ (°)	d_spacing	I_rel	h k l
11.0	8.073	54	1 0 0
25.2	3.531	47	1 1 1
27.6	3.235	46	2 0 1
29.3	3.051	31	2 1 0
33.1	2.705	27	0 0 2
33.7	2.658	100	2 1 1
44.8	2.024	35	2 1 2
52.2	1.752	28	2 3 1
59.5	1.552	19	2 1 3
63.0	1.476	17	1 4 2

Crystal structure
```
data_Ce3TaCl3O6
_cell_length_a 9.3218
_cell_length_b 9.3218
_cell_length_c 5.4101
_cell_angle_alpha 90.00
_cell_angle_beta 90.00
_cell_angle_gamma 120.00
_space_group_name_H-M_alt 'P 63/m'
_space_group_IT_number 176
_space_group_name_Hall '-P 6c'
loop_
_atom_site_label
_atom_site_fract_x
_atom_site_fract_y
_atom_site_fract_z
_atom_site_occupancy
Ce1 0.0904 0.4109 0.2500 1
Ta1 0.3333 0.6667 0.7500 1
Cl1 0.0521 0.2410 0.7500 1
O1 0.1553 0.6346 0.5114 1
```

# 2
The following is a computed powder diffractogram of Ce3TaCl6O4. It was derived from the GGA-PBE geometry in the Materials Project, using a wavelength of 1.5418 Å.
Intensities are scaled so that the largest is 100.

The 10 most intense peaks (10° ≤ 2θ ≤ 90°), by angle:
2θ (°)	d_spacing	I_rel	h k l
15.8	5.620	40	2 0 0
20.9	4.249	61	2 1 0
26.4	3.382	25	1 1 1
27.5	3.239	81	2 0 1
30.9	2.898	89	2 1 1
36.6	2.452	100	1 4 0
41.8	2.161	50	3 2 1
54.8	1.674	31	3 4 1
60.0	1.541	31	1 4 2
62.4	1.489	28	1 7 0

Crystal structure
```
data_Ce3TaCl6O4
_cell_length_a 12.9797
_cell_length_b 12.9797
_cell_length_c 3.9620
_cell_angle_alpha 90.00
_cell_angle_beta 90.00
_cell_angle_gamma 120.00
_space_group_name_H-M_alt 'P 63/m'
_space_group_IT_number 176
_space_group_name_Hall '-P 6c'
loop_
_atom_site_label
_atom_site_fract_x
_atom_site_fract_y
_atom_site_fract_z
_atom_site_occupancy
Ce1 0.1145 0.7190 0.2500 1
Ta1 0.3333 0.6667 0.7500 1
Cl1 0.0692 0.4415 0.2500 1
Cl2 0.1065 0.2492 0.7500 1
O1 0.2009 0.6925 0.7500 1
O2 0.3333 0.6667 0.2500 1
```

Question: Which formula does entry 2 have?
Answer: Ce3TaCl6O4

Question: Number 1 is which compound?
Answer: Ce3TaCl3O6